(1)
# CaLa3Mn4O12
Simulated powder diffraction line list, a wavelength of 1.5418 Å. Input: a crystal structure in the Materials Project, relaxed with GGA+U.

Cell and atoms:
a b c (Å): 5.5619 5.6272 7.7850
angles (deg): 89.94 89.74 89.45
Sites, in units of the cell vectors:
Ca: 0.0000 0.0000 0.0000
La: 0.0224 0.0774 0.5026
La: 0.5075 0.5791 0.5017
La: 0.5199 0.5034 0.0004
Mn: 0.0127 0.5422 0.7545
Mn: 0.0129 0.5435 0.2477
Mn: 0.5131 0.0420 0.2475
Mn: 0.5136 0.0410 0.7557
O: 0.0892 0.5670 0.0102
O: 0.2430 0.8295 0.2993
O: 0.2436 0.8341 0.7088
O: 0.2880 0.3372 0.7122
O: 0.3024 0.3213 0.2943
O: 0.4218 0.0587 0.0106
O: 0.5939 0.0322 0.4922
O: 0.7197 0.7611 0.2105
O: 0.7351 0.7441 0.7855
O: 0.7861 0.2458 0.7919
O: 0.7870 0.2506 0.2044
O: 0.9409 0.5284 0.4909

Peak list (12 most intense, 15 to 90 degrees two-theta, by intensity)
2θ 32.3, intensity 100, hkl 1 1 -2
2θ 32.2, intensity 97, hkl 1 1 2
2θ 32.4, intensity 48, hkl -1 1 2
2θ 31.8, intensity 48, hkl 0 2 0
2θ 46.7, intensity 30, hkl 0 0 4
2θ 45.7, intensity 29, hkl 2 2 0
2θ 46.1, intensity 29, hkl 2 -2 0
2θ 57.1, intensity 26, hkl 3 1 2
2θ 57.4, intensity 22, hkl 3 1 -2
2θ 57.7, intensity 22, hkl -3 1 2
2θ 57.6, intensity 20, hkl 0 2 -4
2θ 39.5, intensity 18, hkl 0 2 -2

---

(2)
# LiCr2P3O10
Simulated powder diffraction line list, a wavelength of 1.5418 Å. Input: a crystal structure in the Materials Project, relaxed with GGA+U.

Cell and atoms:
a b c (Å): 4.7441 8.6578 9.4929
angles (deg): 90.00 102.24 90.00
Sites, in units of the cell vectors:
Li: 0.0000 0.0000 0.0000
Li: 0.0000 0.5000 0.0000
Cr: 0.0417 0.0642 0.3305
Cr: 0.0417 0.4358 0.3305
Cr: 0.9583 0.5642 0.6695
Cr: 0.9583 0.9358 0.6695
P: 0.3251 0.2500 0.8246
P: 0.4198 0.7500 0.4501
P: 0.4691 0.2500 0.1344
P: 0.5309 0.7500 0.8656
P: 0.5802 0.2500 0.5499
P: 0.6749 0.7500 0.1754
O: 0.1530 0.1017 0.8158
O: 0.1530 0.3983 0.8158
O: 0.2273 0.7500 0.7641
O: 0.2544 0.6028 0.4657
O: 0.2544 0.8972 0.4657
O: 0.2779 0.2500 0.4485
O: 0.3020 0.1024 0.1438
O: 0.3020 0.3976 0.1438
O: 0.4403 0.7500 0.0262
O: 0.4675 0.7500 0.2852
O: 0.5325 0.2500 0.7148
O: 0.5597 0.2500 0.9738
O: 0.6980 0.6024 0.8562
O: 0.6980 0.8976 0.8562
O: 0.7221 0.7500 0.5515
O: 0.7456 0.1028 0.5343
O: 0.7456 0.3972 0.5343
O: 0.7727 0.2500 0.2359
O: 0.8470 0.6017 0.1842
O: 0.8470 0.8983 0.1842

Peak list (12 most intense, 15 to 90 degrees two-theta, by intensity)
2θ 28.2, intensity 100, hkl 1 2 0
2θ 31.2, intensity 62, hkl 1 0 -3
2θ 24.1, intensity 43, hkl 1 0 -2
2θ 31.8, intensity 32, hkl 1 1 2
2θ 25.4, intensity 24, hkl 1 1 1
2θ 57.7, intensity 24, hkl 2 3 2
2θ 35.7, intensity 20, hkl 0 2 3
2θ 32.5, intensity 15, hkl 0 3 1
2θ 36.7, intensity 14, hkl 0 3 2
2θ 43.7, intensity 14, hkl 1 3 2
2θ 41.0, intensity 12, hkl 1 1 -4
2θ 51.1, intensity 12, hkl 1 3 -4